Entry 1:
Theoretical powder diffractogram of RbPaP2O8 for a wavelength of 1.5418 Å, from a crystal structure in Alexandria, relaxed with GGA-PBE.
Peak positions follow from Bragg's law for the DFT cell and can differ from measured ones.

Principal peaks in the range 15° ≤ 2θ ≤ 90°, by intensity:
| (hkl) | 2θ (°) | I (rel.) |
| --- | --- | --- |
| 0 1 2 | 27.77 | 100 |
| 1 0 0 | 18.85 | 77 |
| 0 1 1 | 21.41 | 54 |
| 1 1 0 | 32.95 | 39 |
| 0 2 2 | 43.62 | 33 |
| 3 -2 2 | 55.73 | 29 |

Structure:
```
RbPaP2O8
1.0
5.4364 0.0000 0.0000
-2.7182 4.7080 0.0000
0.0000 0.0000 8.7903
Rb Pa P O
1 1 2 8
Direct
0.0000 0.0000 0.0000
0.0000 0.0000 0.5000
0.3333 0.6667 0.7189
0.6667 0.3333 0.2811
0.1311 0.3650 0.6475
0.2339 0.8689 0.6475
0.3333 0.6667 0.8884
0.3650 0.2339 0.3525
0.6350 0.7661 0.6475
0.6667 0.3333 0.1116
0.7661 0.1311 0.3525
0.8689 0.6350 0.3525
```

Entry 2:
Theoretical powder diffractogram of Na5BeTeO2 for a wavelength of 1.5418 Å, from a crystal structure in Alexandria, relaxed with GGA-PBE.
Peak positions follow from Bragg's law for the DFT cell and can differ from measured ones.

Principal peaks in the range 15° ≤ 2θ ≤ 90°, by intensity:
| (hkl) | 2θ (°) | I (rel.) |
| --- | --- | --- |
| 1 1 2 | 34.48 | 100 |
| 1 0 1 | 21.54 | 97 |
| 1 1 1 | 28.55 | 65 |
| 2 0 0 | 37.54 | 63 |
| 1 0 2 | 28.83 | 41 |
| 2 0 3 | 50.91 | 29 |

Structure:
```
Na5BeTeO2
1.0
4.7917 0.0000 0.0000
0.0000 4.7917 0.0000
0.0000 0.0000 8.1165
Na Be Te O
5 1 1 2
Direct
0.0000 0.0000 0.0000
0.0000 0.5000 0.2750
0.0000 0.5000 0.7250
0.5000 0.0000 0.2750
0.5000 0.0000 0.7250
0.0000 0.0000 0.5000
0.5000 0.5000 0.0000
0.0000 0.0000 0.3200
0.0000 0.0000 0.6800
```